No. 1
Structure and computed X-ray powder pattern of YBiP (a structure optimized by DFT (GGA-PBE); Cu Ka).
Neutral-atom scattering factors, no anomalous dispersion.

Crystal structure
Unit cell a=3.897 b=3.897 c=22.997 alpha=90.00 beta=90.00 gamma=90.00
Space group I4/mmm (No. 139)
Inequivalent atoms, fractional coordinates:
Y (0.000, 0.000, 0.181) x4
Bi (0.000, 0.000, 0.421) x4
P (0.000, 0.000, 0.305) x4

Peak list (10 most intense, 2θ = 10–80°, by angle)
d 3.841, I 100.0, (1 0 1); d 2.973, I 84.6, (1 0 5); d 2.875, I 30.4, (0 0 8); d 2.756, I 88.6, (1 1 0); d 2.512, I 55.7, (1 0 7); d 1.989, I 42.0, (1 1 8); d 1.949, I 32.4, (2 0 0); d 1.738, I 26.4, (2 1 1); d 1.630, I 29.8, (2 1 5); d 1.612, I 39.2, (2 0 8)

=====

No. 2
Structure and computed X-ray powder pattern of Zr3BiP (a structure optimized by DFT (GGA-PBE); Cu Ka).
Neutral-atom scattering factors, no anomalous dispersion.

Crystal structure
Unit cell a=9.546 b=12.324 c=3.984 alpha=90.00 beta=90.00 gamma=90.00
Space group Cmmm (No. 65)
Inequivalent atoms, fractional coordinates:
Zr (0.000, 0.194, 0.000) x4
Zr (0.193, 0.370, 0.500) x8
Bi (0.000, 0.000, 0.500) x2
Bi (0.000, 0.500, 0.000) x2
P (0.250, 0.250, 0.000) x4

Peak list (10 most intense, 2θ = 10–80°, by angle)
d 3.774, I 30.5, (2 2 0); d 3.523, I 26.4, (1 1 1); d 3.059, I 23.9, (2 0 1); d 2.740, I 100.0, (1 3 1); d 2.589, I 39.8, (2 4 0); d 2.437, I 67.2, (3 1 1); d 2.387, I 23.4, (4 0 0); d 1.992, I 22.6, (0 0 2); d 1.588, I 37.7, (5 3 1); d 1.437, I 22.4, (3 7 1)

=====

No. 3
Structure and computed X-ray powder pattern of Pa4Bi5 (a structure optimized by DFT (GGA-PBE); Cu Ka).
Neutral-atom scattering factors, no anomalous dispersion.

Crystal structure
Unit cell a=9.788 b=9.788 c=6.256 alpha=90.00 beta=90.00 gamma=90.00
Space group I4/m (No. 87)
Inequivalent atoms, fractional coordinates:
Pa (0.090, 0.692, 0.000) x8
Bi (0.000, 0.000, 0.000) x2
Bi (0.099, 0.729, 0.500) x8

Peak list (10 most intense, 2θ = 10–80°, by angle)
d 3.128, I 53.1, (0 0 2); d 3.095, I 100.0, (3 1 0); d 2.200, I 79.5, (3 1 2); d 2.189, I 34.1, (2 4 0); d 1.793, I 37.6, (2 4 2); d 1.396, I 19.3, (3 1 4); d 1.387, I 14.0, (6 2 2); d 1.384, I 12.6, (1 7 0); d 1.273, I 17.5, (2 4 4); d 1.266, I 19.0, (1 7 2)

=====

No. 4
Structure and computed X-ray powder pattern of PaBi (a structure optimized by DFT (GGA-PBE); Cu Ka).
Neutral-atom scattering factors, no anomalous dispersion.

Crystal structure
Unit cell a=3.826 b=3.826 c=3.826 alpha=90.00 beta=90.00 gamma=90.00
Space group Pm-3m (No. 221)
Inequivalent atoms, fractional coordinates:
Pa (0.000, 0.000, 0.000) x1
Bi (0.500, 0.500, 0.500) x1

Peak list (5 most intense, 2θ = 10–80°, by angle)
d 2.706, I 100.0, (1 1 0); d 1.913, I 18.7, (2 0 0); d 1.562, I 39.6, (2 1 1); d 1.353, I 12.4, (2 2 0); d 1.210, I 17.6, (3 1 0)

=====

No. 5
Structure and computed X-ray powder pattern of PaBi5Pb2 (a structure optimized by DFT (GGA-PBE); Cu Ka).
Neutral-atom scattering factors, no anomalous dispersion.

Crystal structure
Unit cell a=8.394 b=8.394 c=6.939 alpha=90.00 beta=90.00 gamma=90.00
Space group I4/mmm (No. 139)
Inequivalent atoms, fractional coordinates:
Pa (0.000, 0.000, 0.000) x2
Bi (0.000, 0.000, 0.500) x2
Bi (0.250, 0.250, 0.250) x8
Pb (0.000, 0.500, 0.000) x4

Peak list (10 most intense, 2θ = 10–80°, by angle)
d 2.968, I 65.7, (2 2 0); d 2.674, I 100.0, (2 0 2); d 2.099, I 25.4, (4 0 0); d 1.735, I 7.1, (0 0 4); d 1.651, I 48.7, (4 2 2); d 1.498, I 17.8, (2 2 4); d 1.484, I 8.6, (4 4 0); d 1.337, I 12.3, (4 0 4); d 1.327, I 12.1, (6 2 0); d 1.298, I 11.2, (6 0 2)

=====

No. 6
Structure and computed X-ray powder pattern of PaBi3Pb2 (a structure optimized by DFT (GGA-PBE); Cu Ka).
Neutral-atom scattering factors, no anomalous dispersion.

Crystal structure
Unit cell a=4.925 b=4.349 c=9.058 alpha=90.00 beta=105.45 gamma=90.00
Space group P2/m (No. 10)
Inequivalent atoms, fractional coordinates:
Pa (0.000, 0.000, 0.000) x1
Bi (0.141, 0.500, 0.285) x2
Bi (0.500, 0.500, 0.000) x1
Pb (0.331, 0.000, 0.657) x2

Peak list (10 most intense, 2θ = 10–80°, by angle)
d 2.910, I 41.3, (0 0 3); d 2.849, I 100.0, (1 1 1); d 2.840, I 99.7, (1 1 -2); d 2.462, I 35.0, (2 0 -1); d 2.175, I 24.7, (0 2 0); d 1.742, I 19.1, (0 2 3); d 1.630, I 21.5, (2 2 -1); d 1.487, I 14.6, (3 1 0); d 1.483, I 14.7, (3 1 -3); d 1.353, I 20.9, (1 3 -2)